PrAl8Fe4: computed X-ray powder pattern (Cu Kα (λ = 1.5418 Å)), based on DFT lattice parameters and positions (PBE).
Intensities are scaled so that the largest is 100.

Crystal structure
```
data_PrAl8Fe4
_chemical_formula_sum 'Pr1 Al8 Fe4'
_space_group_name_H-M_alt 'P 1'
_space_group_IT_number 1
_cell_length_a 6.7061
_cell_length_b 6.7061
_cell_length_c 6.7061
_cell_angle_alpha 98.11
_cell_angle_beta 98.11
_cell_angle_gamma 135.87
loop_
_space_group_symop_operation_xyz
'x,y,z'
loop_
_atom_site_label
_atom_site_type_symbol
_atom_site_fract_x
_atom_site_fract_y
_atom_site_fract_z
Pr1 Pr 0.0000 0.0000 0.0000
Al1 Al 0.0000 0.3433 0.3433
Al2 Al 0.0000 0.6567 0.6567
Al3 Al 0.2753 0.5000 0.7753
Al4 Al 0.3433 0.0000 0.3433
Al5 Al 0.5000 0.2753 0.7753
Al6 Al 0.5000 0.7247 0.2247
Al7 Al 0.6567 0.0000 0.6567
Al8 Al 0.7247 0.5000 0.2247
Fe1 Fe 0.0000 0.0000 0.5000
Fe2 Fe 0.0000 0.5000 0.0000
Fe3 Fe 0.5000 0.0000 0.0000
Fe4 Fe 0.5000 0.5000 0.5000
```

Largest 10 diffraction maxima, low angle first, 2θ = 10–90°:
2θ/deg	d/Å	I_rel
14.25	6.215	26
20.32	4.371	26
28.77	3.103	68
32.21	2.779	18
35.44	2.533	30
41.11	2.196	100
41.31	2.186	68
46.40	1.957	16
59.67	1.550	25
75.00	1.266	16

NdFe2Si2: computed X-ray powder pattern (Cu Kα (λ = 1.5418 Å)), based on DFT lattice parameters and positions (PBE).
Intensities are scaled so that the largest is 100.

Crystal structure
```
data_NdFe2Si2
_chemical_formula_sum 'Nd2 Fe4 Si4'
_space_group_name_H-M_alt 'P 1'
_space_group_IT_number 1
_cell_length_a 4.0208
_cell_length_b 4.0208
_cell_length_c 9.7588
_cell_angle_alpha 90.00
_cell_angle_beta 90.00
_cell_angle_gamma 90.00
loop_
_space_group_symop_operation_xyz
'x,y,z'
loop_
_atom_site_label
_atom_site_type_symbol
_atom_site_fract_x
_atom_site_fract_y
_atom_site_fract_z
Nd1 Nd 0.0000 0.0000 0.0000
Nd2 Nd 0.5000 0.5000 0.5000
Fe1 Fe 0.0000 0.5000 0.2500
Fe2 Fe 0.0000 0.5000 0.7500
Fe3 Fe 0.5000 0.0000 0.2500
Fe4 Fe 0.5000 0.0000 0.7500
Si1 Si 0.0000 0.0000 0.3601
Si2 Si 0.0000 0.0000 0.6399
Si3 Si 0.5000 0.5000 0.1399
Si4 Si 0.5000 0.5000 0.8601
```

Largest 10 diffraction maxima, low angle first, 2θ = 10–90°:
2θ/deg	d/Å	I_rel
23.94	3.718	53
35.50	2.529	65
36.58	2.457	100
36.84	2.440	17
45.10	2.010	44
52.09	1.756	15
58.66	1.574	30
59.59	1.552	16
66.19	1.412	22
77.59	1.230	21

TaNi3: computed X-ray powder pattern (Cu Kα (λ = 1.5418 Å)), based on DFT lattice parameters and positions (PBE).
Intensities are scaled so that the largest is 100.

Crystal structure
```
data_TaNi3
_chemical_formula_sum 'Ta2 Ni6'
_space_group_name_H-M_alt 'P 1'
_space_group_IT_number 1
_cell_length_a 3.6288
_cell_length_b 3.6288
_cell_length_c 7.4821
_cell_angle_alpha 90.00
_cell_angle_beta 90.00
_cell_angle_gamma 90.00
loop_
_space_group_symop_operation_xyz
'x,y,z'
loop_
_atom_site_label
_atom_site_type_symbol
_atom_site_fract_x
_atom_site_fract_y
_atom_site_fract_z
Ta1 Ta 0.0000 0.0000 0.0000
Ta2 Ta 0.5000 0.5000 0.5000
Ni1 Ni 0.0000 0.0000 0.5000
Ni2 Ni 0.0000 0.5000 0.2500
Ni3 Ni 0.0000 0.5000 0.7500
Ni4 Ni 0.5000 0.0000 0.2500
Ni5 Ni 0.5000 0.0000 0.7500
Ni6 Ni 0.5000 0.5000 0.0000
```

Largest 10 diffraction maxima, low angle first, 2θ = 10–90°:
2θ/deg	d/Å	I_rel
23.78	3.741	10
27.31	3.265	30
42.73	2.116	100
44.06	2.055	9
48.68	1.871	17
50.29	1.814	31
72.59	1.302	20
73.87	1.283	9
86.84	1.122	12
89.29	1.097	23

NbCr3Ag2S8: computed X-ray powder pattern (Cu Kα (λ = 1.5418 Å)), based on DFT lattice parameters and positions (PBE).
Intensities are scaled so that the largest is 100.

Crystal structure
```
data_NbCr3Ag2S8
_chemical_formula_sum 'Nb2 Cr6 Ag4 S16'
_space_group_name_H-M_alt 'P 1'
_space_group_IT_number 1
_cell_length_a 6.4737
_cell_length_b 7.6423
_cell_length_c 12.5218
_cell_angle_alpha 82.25
_cell_angle_beta 85.82
_cell_angle_gamma 89.94
loop_
_space_group_symop_operation_xyz
'x,y,z'
loop_
_atom_site_label
_atom_site_type_symbol
_atom_site_fract_x
_atom_site_fract_y
_atom_site_fract_z
Nb1 Nb 0.0000 0.0000 0.0000
Nb2 Nb 0.3833 0.5929 0.6995
Cr1 Cr 0.0828 0.1857 0.2985
Cr2 Cr 0.4831 0.7711 0.0056
Cr3 Cr 0.5980 0.4370 0.2920
Cr4 Cr 0.6070 0.9405 0.2980
Cr5 Cr 0.8692 0.8377 0.7052
Cr6 Cr 0.8815 0.3335 0.7020
Ag1 Ag 0.1070 0.6825 0.3054
Ag2 Ag 0.3525 0.0886 0.6998
Ag3 Ag 0.4908 0.2624 0.0029
Ag4 Ag 0.9788 0.5083 0.0030
S1 S 0.0021 0.1008 0.6301
S2 S 0.0451 0.6035 0.6380
S3 S 0.1044 0.2155 0.1215
S4 S 0.1531 0.7473 0.1015
S5 S 0.3355 0.0201 0.9029
S6 S 0.3586 0.5617 0.8858
S7 S 0.4197 0.1762 0.3519
S8 S 0.4731 0.6732 0.3612
S9 S 0.5587 0.8469 0.6251
S10 S 0.5627 0.3617 0.6326
S11 S 0.6098 0.5045 0.1131
S12 S 0.6474 0.9614 0.1141
S13 S 0.8092 0.8109 0.8910
S14 S 0.8694 0.2692 0.8812
S15 S 0.9059 0.4028 0.3639
S16 S 0.9133 0.9399 0.3711
```

Largest 10 diffraction maxima, low angle first, 2θ = 10–90°:
2θ/deg	d/Å	I_rel
21.54	4.125	100
27.22	3.276	36
27.62	3.230	31
28.71	3.109	32
28.99	3.080	30
29.10	3.069	31
33.01	2.713	27
33.53	2.673	27
47.60	1.910	26
48.47	1.878	27